Diffraction record for ZnS. The powder XRD pattern is computed, not measured: it uses a structure optimized by DFT (PBE) and Cu Kα (weighted mean of Kα1 and Kα2).
Lines closer than 0.1° are merged.

Peak list (8 most intense, 2θ = 10–90°, low angle first)
| hkl | d/Å | I (rel.) |
| --- | --- | --- |
| 1 0 2 | 3.298 | 58 |
| 0 0 14 | 3.150 | 82 |
| 1 0 5 | 3.120 | 83 |
| 1 0 7 | 2.948 | 60 |
| 1 1 0 | 1.926 | 100 |
| 1 0 19 | 1.905 | 36 |
| 1 0 21 | 1.777 | 43 |
| 1 1 14 | 1.643 | 67 |

Cell and atoms:
```
data_ZnS
_chemical_formula_sum 'Zn14 S14'
_cell_length_a 3.8520
_cell_length_b 3.8520
_cell_length_c 44.1033
_cell_angle_alpha 90.00
_cell_angle_beta 90.00
_cell_angle_gamma 120.00
_symmetry_space_group_name_H-M 'P 3 m 1'
_symmetry_Int_Tables_number 156
_symmetry_space_group_name_Hall 'P 3 -2"'
loop_
_atom_site_label
_atom_site_type_symbol
_atom_site_fract_x
_atom_site_fract_y
_atom_site_fract_z
Zn1 Zn 0.0000 0.0000 0.0000
Zn2 Zn 0.0000 0.0000 0.1429
Zn3 Zn 0.0000 0.0000 0.2857
Zn4 Zn 0.0000 0.0000 0.5714
Zn5 Zn 0.0000 0.0000 0.7143
Zn6 Zn 0.3333 0.6667 0.3571
Zn7 Zn 0.3333 0.6667 0.5000
Zn8 Zn 0.3333 0.6667 0.7857
Zn9 Zn 0.3333 0.6667 0.9286
Zn10 Zn 0.6667 0.3333 0.0714
Zn11 Zn 0.6667 0.3333 0.2143
Zn12 Zn 0.6667 0.3333 0.4286
Zn13 Zn 0.6667 0.3333 0.6429
Zn14 Zn 0.6667 0.3333 0.8571
S1 S 0.0000 0.0000 0.0535
S2 S 0.0000 0.0000 0.1964
S3 S 0.0000 0.0000 0.3393
S4 S 0.0000 0.0000 0.6250
S5 S 0.0000 0.0000 0.7678
S6 S 0.3333 0.6667 0.4107
S7 S 0.3333 0.6667 0.5536
S8 S 0.3333 0.6667 0.8392
S9 S 0.3333 0.6667 0.9821
S10 S 0.6667 0.3333 0.1250
S11 S 0.6667 0.3333 0.2679
S12 S 0.6667 0.3333 0.4822
S13 S 0.6667 0.3333 0.6965
S14 S 0.6667 0.3333 0.9108
```

=====

Diffraction record for ZnS. The powder XRD pattern is computed, not measured: it uses a structure optimized by DFT (PBE) and Cu Kα (weighted mean of Kα1 and Kα2).
Lines closer than 0.1° are merged.

Peak list (8 most intense, 2θ = 10–90°, low angle first)
| hkl | d/Å | I (rel.) |
| --- | --- | --- |
| 1 0 3 | 3.272 | 46 |
| 1 0 5 | 3.167 | 87 |
| 0 0 16 | 3.151 | 82 |
| 1 0 8 | 2.948 | 68 |
| 1 0 21 | 1.948 | 33 |
| 1 1 0 | 1.926 | 100 |
| 1 0 24 | 1.777 | 49 |
| 1 1 16 | 1.644 | 79 |

Cell and atoms:
```
data_ZnS
_chemical_formula_sum 'Zn16 S16'
_cell_length_a 3.8517
_cell_length_b 3.8517
_cell_length_c 50.4108
_cell_angle_alpha 90.00
_cell_angle_beta 90.00
_cell_angle_gamma 120.00
_symmetry_space_group_name_H-M 'P 3 m 1'
_symmetry_Int_Tables_number 156
_symmetry_space_group_name_Hall 'P 3 -2"'
loop_
_atom_site_label
_atom_site_type_symbol
_atom_site_fract_x
_atom_site_fract_y
_atom_site_fract_z
Zn1 Zn 0.0000 0.0000 0.0000
Zn2 Zn 0.0000 0.0000 0.1250
Zn3 Zn 0.0000 0.0000 0.2500
Zn4 Zn 0.0000 0.0000 0.3750
Zn5 Zn 0.0000 0.0000 0.6250
Zn6 Zn 0.0000 0.0000 0.7500
Zn7 Zn 0.3333 0.6667 0.1875
Zn8 Zn 0.3333 0.6667 0.4375
Zn9 Zn 0.3333 0.6667 0.5625
Zn10 Zn 0.3333 0.6667 0.8125
Zn11 Zn 0.3333 0.6667 0.9375
Zn12 Zn 0.6667 0.3333 0.0625
Zn13 Zn 0.6667 0.3333 0.3125
Zn14 Zn 0.6667 0.3333 0.5000
Zn15 Zn 0.6667 0.3333 0.6875
Zn16 Zn 0.6667 0.3333 0.8750
S1 S 0.0000 0.0000 0.0468
S2 S 0.0000 0.0000 0.1718
S3 S 0.0000 0.0000 0.2968
S4 S 0.0000 0.0000 0.4218
S5 S 0.0000 0.0000 0.6718
S6 S 0.0000 0.0000 0.7969
S7 S 0.3333 0.6667 0.2344
S8 S 0.3333 0.6667 0.4843
S9 S 0.3333 0.6667 0.6094
S10 S 0.3333 0.6667 0.8593
S11 S 0.3333 0.6667 0.9843
S12 S 0.6667 0.3333 0.1094
S13 S 0.6667 0.3333 0.3594
S14 S 0.6667 0.3333 0.5469
S15 S 0.6667 0.3333 0.7344
S16 S 0.6667 0.3333 0.9219
```

=====

Diffraction record for ZnS. The powder XRD pattern is computed, not measured: it uses a structure optimized by DFT (PBE) and Cu Kα (weighted mean of Kα1 and Kα2).
Lines closer than 0.1° are merged.

Peak list (8 most intense, 2θ = 10–90°, low angle first)
| hkl | d/Å | I (rel.) |
| --- | --- | --- |
| 1 0 5 | 3.226 | 31 |
| 0 1 6 | 3.180 | 92 |
| 0 0 20 | 3.151 | 82 |
| 1 0 9 | 3.012 | 40 |
| 0 1 26 | 1.961 | 34 |
| 1 1 0 | 1.927 | 100 |
| 1 0 29 | 1.821 | 24 |
| 1 1 20 | 1.644 | 67 |

Cell and atoms:
```
data_ZnS
_chemical_formula_sum 'Zn20 S20'
_cell_length_a 3.8530
_cell_length_b 3.8530
_cell_length_c 63.0250
_cell_angle_alpha 90.00
_cell_angle_beta 90.00
_cell_angle_gamma 120.00
_symmetry_space_group_name_H-M 'P 3 m 1'
_symmetry_Int_Tables_number 156
_symmetry_space_group_name_Hall 'P 3 -2"'
loop_
_atom_site_label
_atom_site_type_symbol
_atom_site_fract_x
_atom_site_fract_y
_atom_site_fract_z
Zn1 Zn 0.0000 0.0000 0.0000
Zn2 Zn 0.0000 0.0000 0.1000
Zn3 Zn 0.0000 0.0000 0.2000
Zn4 Zn 0.0000 0.0000 0.3000
Zn5 Zn 0.0000 0.0000 0.5000
Zn6 Zn 0.0000 0.0000 0.6500
Zn7 Zn 0.0000 0.0000 0.7500
Zn8 Zn 0.0000 0.0000 0.8500
Zn9 Zn 0.3333 0.6667 0.0500
Zn10 Zn 0.3333 0.6667 0.2500
Zn11 Zn 0.3333 0.6667 0.4000
Zn12 Zn 0.3333 0.6667 0.5500
Zn13 Zn 0.3333 0.6667 0.7000
Zn14 Zn 0.3333 0.6667 0.9000
Zn15 Zn 0.6667 0.3333 0.1500
Zn16 Zn 0.6667 0.3333 0.3500
Zn17 Zn 0.6667 0.3333 0.4500
Zn18 Zn 0.6667 0.3333 0.6000
Zn19 Zn 0.6667 0.3333 0.8000
Zn20 Zn 0.6667 0.3333 0.9500
S1 S 0.0000 0.0000 0.0375
S2 S 0.0000 0.0000 0.1374
S3 S 0.0000 0.0000 0.2374
S4 S 0.0000 0.0000 0.3375
S5 S 0.0000 0.0000 0.5375
S6 S 0.0000 0.0000 0.6875
S7 S 0.0000 0.0000 0.7874
S8 S 0.0000 0.0000 0.8875
S9 S 0.3333 0.6667 0.0875
S10 S 0.3333 0.6667 0.2875
S11 S 0.3333 0.6667 0.4375
S12 S 0.3333 0.6667 0.5875
S13 S 0.3333 0.6667 0.7375
S14 S 0.3333 0.6667 0.9375
S15 S 0.6667 0.3333 0.1875
S16 S 0.6667 0.3333 0.3874
S17 S 0.6667 0.3333 0.4875
S18 S 0.6667 0.3333 0.6375
S19 S 0.6667 0.3333 0.8375
S20 S 0.6667 0.3333 0.9875
```